No. 1
Dy9Ho4In11: calculated powder diffractogram (a wavelength of 1.5418 Å), based on a PBE-relaxed structure.
Neutral-atom scattering factors, no anomalous dispersion.

Principal peaks in the range 10 to 90 degrees two-theta, by angle:
- d 2.809, I = 22
- d 2.772, I = 43
- d 2.753, I = 41
- d 2.624, I = 100
- d 2.596, I = 49
- d 2.340, I = 24
- d 2.323, I = 12
- d 1.749, I = 16
- d 1.571, I = 28
- d 1.492, I = 26
- d 1.479, I = 13
- d 1.455, I = 16

Atomic structure:
```
data_Dy9Ho4In11
_cell_length_a 15.8811
_cell_length_b 23.2286
_cell_length_c 3.4989
_cell_angle_alpha 90.00
_cell_angle_beta 90.00
_cell_angle_gamma 90.00
_space_group_name_H-M_alt 'C m m m'
_space_group_IT_number 65
_space_group_name_Hall '-C 2 2'
loop_
_atom_site_label
_atom_site_type_symbol
_atom_site_fract_x
_atom_site_fract_y
_atom_site_fract_z
Dy1 Dy 0.0000 0.0000 0.0000
Dy2 Dy 0.1086 0.4052 0.0000
Dy3 Dy 0.1117 0.2245 0.0000
Ho1 Ho 0.1714 0.0820 0.0000
In1 In 0.0000 0.1213 0.5000
In2 In 0.0000 0.3130 0.5000
In3 In 0.0000 0.5000 0.5000
In4 In 0.2081 0.5000 0.5000
In5 In 0.2267 0.3172 0.5000
```

=====

No. 2
CeTh6In5: calculated powder diffractogram (a wavelength of 1.5418 Å), based on a PBE-relaxed structure.
Neutral-atom scattering factors, no anomalous dispersion.

Principal peaks in the range 10 to 90 degrees two-theta, by angle:
- d 3.569, I = 8
- d 2.814, I = 100
- d 2.553, I = 19
- d 2.496, I = 18
- d 2.286, I = 14
- d 1.703, I = 11
- d 1.686, I = 11
- d 1.519, I = 15
- d 1.496, I = 8
- d 1.494, I = 7
- d 1.407, I = 12
- d 1.402, I = 12

Atomic structure:
```
data_CeTh6In5
_cell_length_a 4.9923
_cell_length_b 9.1460
_cell_length_c 8.0498
_cell_angle_alpha 90.00
_cell_angle_beta 107.95
_cell_angle_gamma 90.00
_space_group_name_H-M_alt 'P 1 2/m 1'
_space_group_IT_number 10
loop_
_space_group_symop_operation_xyz
'x,y,z'
'-x,-y,-z'
'-x,y,-z'
'x,-y,z'
loop_
_atom_site_label
_atom_site_type_symbol
_atom_site_fract_x
_atom_site_fract_y
_atom_site_fract_z
Ce1 Ce 0.0000 0.0000 0.0000
Th1 Th 0.1681 0.2451 0.3365
Th2 Th 0.5000 0.2561 0.0000
In1 In 0.0000 0.5000 0.0000
In2 In 0.3275 0.5000 0.6549
In3 In 0.3427 0.0000 0.6847
```